Computed X-ray diffraction stick pattern
Compound: ZrInAgSe3
Radiation: copper Kα
Structure: DFT lattice parameters and positions (PBE)
No peak broadening, texture or thermal motion is included.

Lattice parameters (Å, degrees): 8.625 3.947 9.579 90.00 107.68 90.00
Fractional coordinates of all 12 atoms:
Zr1 0.186 0.250 0.161
Zr2 0.814 0.750 0.839
In1 0.276 0.750 0.737
In2 0.724 0.250 0.263
Ag1 0.426 0.750 0.392
Ag2 0.574 0.250 0.608
Se1 0.044 0.250 0.856
Se2 0.240 0.250 0.451
Se3 0.383 0.750 0.110
Se4 0.617 0.250 0.890
Se5 0.760 0.750 0.549
Se6 0.956 0.750 0.144

Top 12 peaks for 10° ≤ 2θ ≤ 80°, in order of rising 2θ:
2θ (°)  I/Imax  (hkl)
12.1  65  1 0 -1
29.7  37  1 1 -2
30.9  100  2 1 -1
31.4  86  2 1 0
34.4  50  1 0 3
34.9  38  2 1 1
36.2  54  1 1 -3
37.3  30  0 1 3
42.0  37  4 0 -1
45.4  33  2 1 -4
46.0  44  0 2 0
49.4  35  3 1 2